No. 1
Structure and computed powder diffraction line list of Cs3AlP2 (a DFT-relaxed cell (GGA-PBE, the Materials Project); a wavelength of 1.5418 Å).

Most intense lines, 15° ≤ 2θ ≤ 90°, sorted by position:
d_spacing	two_theta	Rel. int.
4.109	21.6	40
3.600	24.7	33
3.491	25.5	100
3.474	25.6	23
3.369	26.5	33
3.334	26.7	61
3.200	27.9	36
3.186	28.0	31
2.996	29.8	50
2.831	31.6	28

Crystal structure
Unit cell a=11.423 b=8.768 c=19.233 alpha=90.00 beta=100.36 gamma=90.00
Atoms (fractional coordinates):
1 Cs 0.082 0.058 0.244
2 Cs 0.082 0.442 0.744
3 Cs 0.150 0.525 0.967
4 Cs 0.150 0.975 0.467
5 Cs 0.264 0.087 0.921
6 Cs 0.264 0.413 0.421
7 Cs 0.290 0.119 0.661
8 Cs 0.290 0.381 0.161
9 Cs 0.361 0.743 0.289
10 Cs 0.361 0.757 0.789
11 Cs 0.376 0.569 0.611
12 Cs 0.376 0.931 0.111
13 Cs 0.624 0.069 0.889
14 Cs 0.624 0.431 0.389
15 Cs 0.639 0.243 0.211
16 Cs 0.639 0.257 0.711
17 Cs 0.710 0.619 0.839
18 Cs 0.710 0.881 0.339
19 Cs 0.736 0.587 0.579
20 Cs 0.736 0.913 0.079
21 Cs 0.850 0.025 0.533
22 Cs 0.850 0.475 0.033
23 Cs 0.918 0.558 0.256
24 Cs 0.918 0.942 0.756
25 Al 0.043 0.613 0.555
26 Al 0.043 0.887 0.055
27 Al 0.464 0.053 0.427
28 Al 0.464 0.447 0.927
29 Al 0.536 0.553 0.073
30 Al 0.536 0.947 0.573
31 Al 0.957 0.113 0.945
32 Al 0.957 0.387 0.445
33 P 0.054 0.156 0.063
34 P 0.054 0.344 0.563
35 P 0.104 0.713 0.140
36 P 0.104 0.787 0.640
37 P 0.404 0.139 0.315
38 P 0.404 0.361 0.815
39 P 0.494 0.702 0.968
40 P 0.494 0.798 0.468
41 P 0.506 0.202 0.532
42 P 0.506 0.298 0.032
43 P 0.596 0.639 0.185
44 P 0.596 0.861 0.685
45 P 0.896 0.213 0.360
46 P 0.896 0.287 0.860
47 P 0.946 0.656 0.437
48 P 0.946 0.844 0.937

No. 2
Structure and computed powder diffraction line list of La3MgTi4O12 (a DFT-relaxed cell (GGA-PBE, the Materials Project); a wavelength of 1.5418 Å).

Most intense lines, 15° ≤ 2θ ≤ 90°, sorted by position:
d_spacing	two_theta	Rel. int.
4.529	19.6	13
3.901	22.8	14
2.781	32.2	100
2.758	32.5	51
2.264	39.8	27
1.983	45.8	17
1.953	46.5	15
1.947	46.6	15
1.610	57.2	22
1.597	57.7	43

Crystal structure
Unit cell a=7.932 b=5.516 c=5.516 alpha=90.18 beta=90.00 gamma=90.00
Atoms (fractional coordinates):
1 La 0.000 0.000 0.000
2 La 0.000 0.492 0.492
3 La 0.500 0.968 0.968
4 Mg 0.500 0.461 0.461
5 Ti 0.257 0.480 0.978
6 Ti 0.257 0.978 0.480
7 Ti 0.743 0.480 0.978
8 Ti 0.743 0.978 0.480
9 O 0.000 0.523 0.931
10 O 0.000 0.931 0.523
11 O 0.200 0.265 0.265
12 O 0.248 0.176 0.781
13 O 0.248 0.781 0.176
14 O 0.312 0.665 0.665
15 O 0.500 0.070 0.450
16 O 0.500 0.450 0.070
17 O 0.688 0.665 0.665
18 O 0.752 0.176 0.781
19 O 0.752 0.781 0.176
20 O 0.800 0.265 0.265

No. 3
Structure and computed powder diffraction line list of Li3NdGa8 (a DFT-relaxed cell (GGA-PBE, the Materials Project); a wavelength of 1.5418 Å).

Most intense lines, 15° ≤ 2θ ≤ 90°, sorted by position:
d_spacing	two_theta	Rel. int.
3.627	24.5	31
3.443	25.9	30
3.300	27.0	36
2.909	30.7	21
2.539	35.3	100
2.171	41.6	94
1.836	49.6	30
1.650	55.7	26
1.577	58.5	18
1.349	69.7	25

Crystal structure
Unit cell a=4.340 b=4.340 c=13.771 alpha=90.00 beta=90.00 gamma=119.91
Atoms (fractional coordinates):
1 Li 0.000 0.000 0.000
2 Li 0.000 0.000 0.245
3 Li 0.000 0.000 0.755
4 Nd 0.000 0.000 0.500
5 Ga 0.333 0.667 0.129
6 Ga 0.333 0.667 0.355
7 Ga 0.333 0.667 0.645
8 Ga 0.333 0.667 0.871
9 Ga 0.667 0.333 0.129
10 Ga 0.667 0.333 0.355
11 Ga 0.667 0.333 0.645
12 Ga 0.667 0.333 0.871

No. 4
Structure and computed powder diffraction line list of Er2Ga9Rh3 (a DFT-relaxed cell (GGA-PBE, the Materials Project); a wavelength of 1.5418 Å).

Most intense lines, 15° ≤ 2θ ≤ 90°, sorted by position:
d_spacing	two_theta	Rel. int.
2.963	30.2	22
2.432	37.0	100
2.398	37.5	18
2.380	37.8	18
2.198	41.1	19
2.186	41.3	87
1.626	56.6	16
1.610	57.2	15
1.463	63.6	14
1.305	72.4	22

Crystal structure
Unit cell a=7.567 b=7.567 c=9.519 alpha=90.00 beta=90.00 gamma=60.11
Atoms (fractional coordinates):
1 Er 0.003 0.668 0.750
2 Er 0.332 0.997 0.750
3 Er 0.668 0.003 0.250
4 Er 0.997 0.332 0.250
5 Ga 0.000 0.334 0.579
6 Ga 0.000 0.334 0.921
7 Ga 0.000 0.666 0.079
8 Ga 0.000 0.666 0.421
9 Ga 0.125 0.875 0.250
10 Ga 0.333 0.667 0.564
11 Ga 0.333 0.667 0.936
12 Ga 0.334 0.000 0.079
13 Ga 0.334 0.000 0.421
14 Ga 0.338 0.452 0.250
15 Ga 0.452 0.338 0.750
16 Ga 0.548 0.662 0.250
17 Ga 0.662 0.548 0.750
18 Ga 0.666 0.000 0.579
19 Ga 0.666 0.000 0.921
20 Ga 0.667 0.333 0.064
21 Ga 0.667 0.333 0.436
22 Ga 0.875 0.125 0.750
23 Rh 0.000 0.000 0.000
24 Rh 0.000 0.000 0.500
25 Rh 0.328 0.328 0.000
26 Rh 0.328 0.328 0.500
27 Rh 0.672 0.672 0.000
28 Rh 0.672 0.672 0.500

No. 5
Structure and computed powder diffraction line list of Tb5O9 (a DFT-relaxed cell (GGA-PBE, the Materials Project); a wavelength of 1.5418 Å).

Most intense lines, 15° ≤ 2θ ≤ 90°, sorted by position:
d_spacing	two_theta	Rel. int.
3.150	28.3	100
2.826	31.7	12
2.683	33.4	21
1.946	46.7	33
1.897	48.0	15
1.688	54.4	15
1.625	56.6	25
1.575	58.6	9
1.261	75.4	9
1.104	88.5	7

Crystal structure
Unit cell a=6.631 b=6.631 c=6.631 alpha=100.47 beta=100.47 gamma=129.55
Atoms (fractional coordinates):
1 Tb 0.000 0.000 0.000
2 Tb 0.193 0.592 0.834
3 Tb 0.408 0.242 0.601
4 Tb 0.641 0.807 0.399
5 Tb 0.758 0.359 0.166
6 O 0.059 0.159 0.715
7 O 0.164 0.481 0.145
8 O 0.336 0.019 0.855
9 O 0.444 0.344 0.285
10 O 0.519 0.664 0.683
11 O 0.656 0.941 0.100
12 O 0.750 0.250 0.500
13 O 0.841 0.556 0.900
14 O 0.981 0.836 0.317

No. 6
Structure and computed powder diffraction line list of TaAs3 (a DFT-relaxed cell (GGA-PBE, the Materials Project); a wavelength of 1.5418 Å).

Most intense lines, 15° ≤ 2θ ≤ 90°, sorted by position:
d_spacing	two_theta	Rel. int.
4.485	19.8	7
3.642	24.4	17
2.386	37.7	100
2.242	40.2	20
1.992	45.5	28
1.489	62.3	22
1.409	66.3	9
1.321	71.4	14
1.213	78.9	23
1.193	80.5	10

Crystal structure
Unit cell a=3.985 b=3.985 c=8.969 alpha=90.00 beta=90.00 gamma=90.00
Atoms (fractional coordinates):
1 Ta 0.000 0.000 0.000
2 Ta 0.500 0.500 0.500
3 As 0.000 0.000 0.500
4 As 0.000 0.500 0.250
5 As 0.000 0.500 0.750
6 As 0.500 0.000 0.250
7 As 0.500 0.000 0.750
8 As 0.500 0.500 0.000

No. 7
Structure and computed powder diffraction line list of Li2Ge4O9 (a DFT-relaxed cell (GGA-PBE, the Materials Project); a wavelength of 1.5418 Å).

Most intense lines, 15° ≤ 2θ ≤ 90°, sorted by position:
d_spacing	two_theta	Rel. int.
4.696	18.9	80
4.076	21.8	100
4.025	22.1	42
3.727	23.9	67
3.331	26.8	59
3.078	29.0	46
2.908	30.7	87
2.566	35.0	85
2.488	36.1	94
2.331	38.6	54

Crystal structure
Unit cell a=16.098 b=4.696 c=9.454 alpha=90.00 beta=90.00 gamma=90.00
Atoms (fractional coordinates):
1 Li 0.021 0.089 0.000
2 Li 0.234 0.944 0.808
3 Li 0.266 0.944 0.308
4 Li 0.479 0.089 0.500
5 Li 0.521 0.911 0.000
6 Li 0.734 0.056 0.808
7 Li 0.766 0.056 0.308
8 Li 0.979 0.911 0.500
9 Ge 0.094 0.478 0.329
10 Ge 0.098 0.501 0.748
11 Ge 0.156 0.985 0.538
12 Ge 0.204 0.490 0.040
13 Ge 0.296 0.490 0.540
14 Ge 0.344 0.985 0.038
15 Ge 0.402 0.501 0.248
16 Ge 0.406 0.478 0.829
17 Ge 0.594 0.522 0.329
18 Ge 0.598 0.499 0.748
19 Ge 0.656 0.015 0.538
20 Ge 0.704 0.510 0.040
21 Ge 0.796 0.510 0.540
22 Ge 0.844 0.015 0.038
23 Ge 0.902 0.499 0.248
24 Ge 0.906 0.522 0.829
25 O 0.005 0.342 0.815
26 O 0.069 0.758 0.622
27 O 0.070 0.201 0.450
28 O 0.125 0.345 0.157
29 O 0.145 0.670 0.902
30 O 0.161 0.210 0.703
31 O 0.164 0.747 0.377
32 O 0.237 0.748 0.629
33 O 0.242 0.211 0.456
34 O 0.258 0.211 0.956
35 O 0.263 0.748 0.129
36 O 0.336 0.747 0.877
37 O 0.339 0.210 0.203
38 O 0.355 0.670 0.402
39 O 0.375 0.345 0.657
40 O 0.430 0.201 0.950
41 O 0.431 0.758 0.122
42 O 0.495 0.342 0.315
43 O 0.505 0.658 0.815
44 O 0.569 0.242 0.622
45 O 0.570 0.799 0.450
46 O 0.625 0.655 0.157
47 O 0.645 0.330 0.902
48 O 0.661 0.790 0.703
49 O 0.664 0.253 0.377
50 O 0.737 0.252 0.629
51 O 0.742 0.789 0.456
52 O 0.758 0.789 0.956
53 O 0.763 0.252 0.129
54 O 0.836 0.253 0.877
55 O 0.839 0.790 0.203
56 O 0.855 0.330 0.402
57 O 0.875 0.655 0.657
58 O 0.930 0.799 0.950
59 O 0.931 0.242 0.122
60 O 0.995 0.658 0.315